Entry 1:
DySc2Zn2Sn2: simulated X-ray diffraction stick pattern (a wavelength of 1.5418 Å), based on a DFT-relaxed cell (PBE, Alexandria).
Intensities are scaled so that the largest is 100.

Main lines, by angle (10° ≤ 2θ ≤ 80°):
two_theta  intensity
26.25  68.8
33.48  88.7
36.34  24.8
38.55  100.0
45.82  19.8
47.24  14.9
51.97  25.0
62.55  13.4
66.54  23.4
69.75  17.1

Structural model:
```
DySc2Zn2Sn2
1.0
2.3352 1.3482 8.3283
-2.3352 1.3482 8.3283
0.0000 -2.6964 8.3283
Dy Sc Zn Sn
1 2 2 2
direct
0.0000 0.0000 0.0000
0.1353 0.1353 0.1353
0.8647 0.8647 0.8647
0.4425 0.4425 0.4425
0.5575 0.5575 0.5575
0.2630 0.2630 0.2630
0.7370 0.7370 0.7370
```



Entry 2:
Hf5FeTe3: simulated X-ray diffraction stick pattern (a wavelength of 1.5418 Å), based on a DFT-relaxed cell (PBE, Alexandria).
Intensities are scaled so that the largest is 100.

Main lines, by angle (10° ≤ 2θ ≤ 80°):
two_theta  intensity
31.48  32.1
31.90  63.7
32.07  100.0
34.95  72.0
36.03  26.3
36.63  94.4
37.39  51.3
38.65  47.1
42.03  26.6
49.46  40.3

Structural model:
```
Hf5FeTe3
1.0
18.0366 0.0000 0.0000
0.0000 3.6855 0.0000
0.0000 0.0000 13.3796
Hf Fe Te
20 4 12
direct
0.0433 0.2500 0.0693
0.0887 0.2500 0.8495
0.1234 0.7500 0.2234
0.2106 0.2500 0.0578
0.2426 0.7500 0.8574
0.2574 0.2500 0.3574
0.2894 0.7500 0.5578
0.3766 0.2500 0.7234
0.4113 0.7500 0.3495
0.4567 0.7500 0.5693
0.5433 0.2500 0.4307
0.5887 0.2500 0.6505
0.6234 0.7500 0.2766
0.7106 0.2500 0.4422
0.7426 0.7500 0.6426
0.7574 0.2500 0.1426
0.7894 0.7500 0.9422
0.8766 0.2500 0.7766
0.9113 0.7500 0.1505
0.9567 0.7500 0.9307
0.1298 0.7500 0.9767
0.3702 0.2500 0.4767
0.6298 0.7500 0.5233
0.8702 0.2500 0.0233
0.0004 0.2500 0.2853
0.9996 0.7500 0.7147
0.1486 0.7500 0.4407
0.2054 0.2500 0.6919
0.2946 0.7500 0.1919
0.3514 0.2500 0.9407
0.5004 0.2500 0.2147
0.4996 0.7500 0.7853
0.6486 0.7500 0.0593
0.7054 0.2500 0.8081
0.7946 0.7500 0.3081
0.8514 0.2500 0.5593
```